Record 1
Structure and computed powder diffractogram of Ti2Zn6Cu (a crystal structure in Alexandria, relaxed with GGA-PBE; Cu Ka).
Lines closer than 0.1° are merged.

Crystal structure
```
Ti2Zn6Cu
1.0
3.1994 -5.2841 0.0000
3.1994 5.2841 0.0000
0.0000 0.0000 4.0373
Ti Zn Cu
2 6 1
Direct
0.2147 0.7853 0.0000 Ti
0.7853 0.2147 0.0000 Ti
0.1643 0.4460 0.5000 Zn
0.2710 0.2710 0.0000 Zn
0.4460 0.1643 0.5000 Zn
0.5540 0.8357 0.5000 Zn
0.7290 0.7290 0.0000 Zn
0.8357 0.5540 0.5000 Zn
0.0000 0.0000 0.5000 Cu
```

Principal peaks in the range 2θ = 15–90°, sorted by position:
- 2θ 22.0, intensity 137
- 2θ 27.9, intensity 237
- 2θ 36.7, intensity 605
- 2θ 39.8, intensity 1000
- 2θ 40.8, intensity 650
- 2θ 43.3, intensity 315
- 2θ 44.9, intensity 543
- 2θ 50.2, intensity 548
- 2θ 64.1, intensity 181
- 2θ 83.9, intensity 191

***

Record 2
Structure and computed powder diffractogram of Ti2ZnCu4 (a crystal structure in Alexandria, relaxed with GGA-PBE; Cu Ka).
Lines closer than 0.1° are merged.

Crystal structure
```
Ti2ZnCu4
1.0
2.5689 0.0000 0.0000
0.0000 4.2199 0.0000
0.0000 0.0000 17.5260
Ti Zn Cu
4 2 8
Direct
0.0000 0.0000 0.0837 Ti
0.0000 0.0000 0.9163 Ti
0.5000 0.5000 0.4163 Ti
0.5000 0.5000 0.5837 Ti
0.0000 0.0000 0.5000 Zn
0.5000 0.5000 0.0000 Zn
0.0000 0.0000 0.3519 Cu
0.0000 0.0000 0.6481 Cu
0.0000 0.5000 0.2748 Cu
0.0000 0.5000 0.7252 Cu
0.5000 0.0000 0.2252 Cu
0.5000 0.0000 0.7748 Cu
0.5000 0.5000 0.1481 Cu
0.5000 0.5000 0.8519 Cu
```

Principal peaks in the range 2θ = 15–90°, sorted by position:
- 2θ 41.2, intensity 222
- 2θ 42.0, intensity 1000
- 2θ 42.5, intensity 508
- 2θ 42.9, intensity 547
- 2θ 43.7, intensity 309
- 2θ 46.3, intensity 367
- 2θ 52.1, intensity 173
- 2θ 62.9, intensity 192
- 2θ 77.9, intensity 145
- 2θ 88.7, intensity 199

***

Record 3
Structure and computed powder diffractogram of Ti3ZnCu4 (a crystal structure in Alexandria, relaxed with GGA-PBE; Cu Ka).
Lines closer than 0.1° are merged.

Crystal structure
```
Ti3ZnCu4
1.0
4.1209 0.0000 0.0000
0.0000 4.1209 0.0000
0.0000 0.0000 6.6708
Ti Zn Cu
3 1 4
Direct
0.0000 0.0000 0.0000 Ti
0.0000 0.0000 0.5000 Ti
0.5000 0.5000 0.0000 Ti
0.5000 0.5000 0.5000 Zn
0.0000 0.5000 0.2628 Cu
0.0000 0.5000 0.7372 Cu
0.5000 0.0000 0.2628 Cu
0.5000 0.0000 0.7372 Cu
```

Principal peaks in the range 2θ = 15–90°, sorted by position:
- 2θ 26.7, intensity 11
- 2θ 30.7, intensity 19
- 2θ 41.1, intensity 1000
- 2θ 43.9, intensity 415
- 2θ 51.7, intensity 18
- 2θ 55.1, intensity 95
- 2θ 63.9, intensity 124
- 2θ 73.0, intensity 152
- 2θ 78.9, intensity 256
- 2θ 89.3, intensity 88

***

Record 4
Structure and computed powder diffractogram of Zr2Ti3Cu2 (a crystal structure in Alexandria, relaxed with GGA-PBE; Cu Ka).
Lines closer than 0.1° are merged.

Crystal structure
```
Zr2Ti3Cu2
1.0
3.0430 0.0000 0.0000
0.0000 26.9106 0.0000
0.0000 0.0000 2.9861
Zr Ti Cu
4 6 4
Direct
0.0000 0.2003 0.0000 Zr
0.0000 0.7997 0.0000 Zr
0.5000 0.2997 0.0000 Zr
0.5000 0.7003 0.0000 Zr
0.0000 0.0692 0.0000 Ti
0.0000 0.5000 0.5000 Ti
0.0000 0.9308 0.0000 Ti
0.5000 0.0000 0.5000 Ti
0.5000 0.4308 0.0000 Ti
0.5000 0.5692 0.0000 Ti
0.0000 0.3721 0.5000 Cu
0.0000 0.6279 0.5000 Cu
0.5000 0.1279 0.5000 Cu
0.5000 0.8721 0.5000 Cu
```

Principal peaks in the range 2θ = 15–90°, sorted by position:
- 2θ 30.7, intensity 190
- 2θ 32.8, intensity 163
- 2θ 33.8, intensity 252
- 2θ 37.7, intensity 1000
- 2θ 40.4, intensity 899
- 2θ 42.6, intensity 704
- 2θ 43.7, intensity 267
- 2θ 68.3, intensity 381
- 2θ 75.0, intensity 232
- 2θ 75.6, intensity 249

***

Record 5
Structure and computed powder diffractogram of Tl3Cu (a crystal structure in Alexandria, relaxed with GGA-PBE; Cu Ka).
Lines closer than 0.1° are merged.

Crystal structure
```
Tl3Cu
1.0
3.3256 0.0000 0.0000
0.0000 4.6729 0.0000
0.0000 0.0000 13.7577
Tl Cu
6 2
Direct
0.0000 0.0000 0.0000 Tl
0.0000 0.5000 0.1810 Tl
0.0000 0.5000 0.8190 Tl
0.5000 0.0000 0.3190 Tl
0.5000 0.0000 0.6810 Tl
0.5000 0.5000 0.5000 Tl
0.0000 0.0000 0.5000 Cu
0.5000 0.5000 0.0000 Cu
```

Principal peaks in the range 2θ = 15–90°, sorted by position:
- 2θ 27.2, intensity 947
- 2θ 27.6, intensity 306
- 2θ 35.6, intensity 1000
- 2θ 38.5, intensity 324
- 2θ 39.3, intensity 257
- 2θ 42.5, intensity 247
- 2θ 42.6, intensity 234
- 2θ 58.8, intensity 186
- 2θ 62.7, intensity 193
- 2θ 64.1, intensity 332

***

Record 6
Structure and computed powder diffractogram of Tl2Cu (a crystal structure in Alexandria, relaxed with GGA-PBE; Cu Ka).
Lines closer than 0.1° are merged.

Crystal structure
```
Tl2Cu
1.0
13.4065 0.0000 0.0000
0.0000 3.3514 0.0000
-1.8741 0.0000 6.4809
Tl Cu
8 4
Direct
0.1284 0.0000 0.0670 Tl
0.1530 0.0000 0.5874 Tl
0.3470 0.5000 0.4126 Tl
0.3716 0.5000 0.9330 Tl
0.6284 0.5000 0.0670 Tl
0.6530 0.5000 0.5874 Tl
0.8470 0.0000 0.4126 Tl
0.8716 0.0000 0.9330 Tl
0.0025 0.5000 0.3010 Cu
0.4975 0.0000 0.6990 Cu
0.5025 0.0000 0.3010 Cu
0.9975 0.5000 0.6990 Cu
```

Principal peaks in the range 2θ = 15–90°, sorted by position:
- 2θ 27.2, intensity 253
- 2θ 27.5, intensity 474
- 2θ 27.7, intensity 389
- 2θ 33.3, intensity 463
- 2θ 33.9, intensity 1000
- 2θ 34.3, intensity 475
- 2θ 37.8, intensity 902
- 2θ 47.1, intensity 230
- 2θ 48.0, intensity 178
- 2θ 66.2, intensity 281

***

Record 7
Structure and computed powder diffractogram of Tl6Cu7 (a crystal structure in Alexandria, relaxed with GGA-PBE; Cu Ka).
Lines closer than 0.1° are merged.

Crystal structure
```
Tl6Cu7
1.0
2.5955 1.4985 11.0474
-2.5955 1.4985 11.0474
0.0000 -2.9970 11.0474
Tl Cu
6 7
Direct
0.0546 0.0546 0.0546 Tl
0.1503 0.1503 0.1503 Tl
0.3130 0.3130 0.3130 Tl
0.6870 0.6870 0.6870 Tl
0.8497 0.8497 0.8497 Tl
0.9454 0.9454 0.9454 Tl
0.1042 0.6028 0.6028 Cu
0.3972 0.3971 0.8958 Cu
0.3972 0.8958 0.3972 Cu
0.5000 0.5000 0.5000 Cu
0.6028 0.1042 0.6028 Cu
0.6028 0.6028 0.1042 Cu
0.8958 0.3972 0.3972 Cu
```

Principal peaks in the range 2θ = 15–90°, sorted by position:
- 2θ 29.3, intensity 503
- 2θ 33.6, intensity 280
- 2θ 34.6, intensity 1000
- 2θ 35.9, intensity 834
- 2θ 38.3, intensity 425
- 2θ 40.2, intensity 268
- 2θ 42.5, intensity 362
- 2θ 42.6, intensity 399
- 2θ 62.8, intensity 332
- 2θ 72.9, intensity 251

***

Record 8
Structure and computed powder diffractogram of Tm5TlCu (a crystal structure in Alexandria, relaxed with GGA-PBE; Cu Ka).
Lines closer than 0.1° are merged.

Crystal structure
```
Tm5TlCu
1.0
5.5355 -3.2704 0.0000
5.5355 3.2704 0.0000
-3.2931 0.0000 10.7018
Tm Tl Cu
10 2 2
Direct
0.0333 0.9667 0.7500 Tm
0.0685 0.3893 0.6405 Tm
0.2182 0.5210 0.9487 Tm
0.3893 0.0685 0.1405 Tm
0.4790 0.7818 0.5513 Tm
0.5210 0.2182 0.4487 Tm
0.6107 0.9315 0.8595 Tm
0.7818 0.4790 0.0513 Tm
0.9315 0.6107 0.3595 Tm
0.9667 0.0333 0.2500 Tm
0.4484 0.5516 0.2500 Tl
0.5516 0.4484 0.7500 Tl
0.0000 0.0000 0.0000 Cu
0.0000 0.0000 0.5000 Cu
```

Principal peaks in the range 2θ = 15–90°, sorted by position:
- 2θ 27.0, intensity 322
- 2θ 27.8, intensity 239
- 2θ 31.8, intensity 401
- 2θ 32.0, intensity 1000
- 2θ 32.2, intensity 394
- 2θ 32.8, intensity 697
- 2θ 33.1, intensity 435
- 2θ 33.9, intensity 259
- 2θ 37.0, intensity 209
- 2θ 37.3, intensity 334

***

Record 9
Structure and computed powder diffractogram of Tm6Tl3Cu (a crystal structure in Alexandria, relaxed with GGA-PBE; Cu Ka).
Lines closer than 0.1° are merged.

Crystal structure
```
Tm6Tl3Cu
1.0
6.0696 0.0000 0.0000
0.0000 8.7386 0.0000
-5.7674 0.0000 10.5059
Tm Tl Cu
12 6 2
Direct
0.0541 0.1627 0.4357 Tm
0.0541 0.3373 0.9357 Tm
0.3402 0.6953 0.4341 Tm
0.3402 0.8047 0.9341 Tm
0.4035 0.0606 0.2671 Tm
0.4035 0.4394 0.7671 Tm
0.5965 0.5606 0.2329 Tm
0.5965 0.9394 0.7329 Tm
0.6598 0.1953 0.0659 Tm
0.6598 0.3047 0.5659 Tm
0.9459 0.6627 0.0643 Tm
0.9459 0.8373 0.5643 Tm
0.0000 0.0000 0.0000 Tl
0.0000 0.5000 0.5000 Tl
0.1681 0.1096 0.7600 Tl
0.1681 0.3904 0.2600 Tl
0.8319 0.6096 0.7400 Tl
0.8319 0.8904 0.2400 Tl
0.5000 0.0000 0.5000 Cu
0.5000 0.5000 0.0000 Cu
```

Principal peaks in the range 2θ = 15–90°, sorted by position:
- 2θ 26.7, intensity 258
- 2θ 30.2, intensity 309
- 2θ 30.7, intensity 380
- 2θ 30.9, intensity 469
- 2θ 31.6, intensity 480
- 2θ 32.6, intensity 593
- 2θ 32.8, intensity 325
- 2θ 34.1, intensity 1000
- 2θ 35.1, intensity 260
- 2θ 35.3, intensity 248

***

Record 10
Structure and computed powder diffractogram of TlCu2W (a crystal structure in Alexandria, relaxed with GGA-PBE; Cu Ka).
Lines closer than 0.1° are merged.

Crystal structure
```
TlCu2W
1.0
2.9136 0.0000 0.0000
-1.4568 2.5233 0.0000
0.0000 0.0000 27.0755
Tl Cu W
3 6 3
Direct
0.0000 0.0000 0.0000 Tl
0.3333 0.6667 0.6667 Tl
0.6667 0.3333 0.3333 Tl
0.0000 0.0000 0.2438 Cu
0.0000 0.0000 0.5064 Cu
0.3333 0.6667 0.1731 Cu
0.3333 0.6667 0.9105 Cu
0.6667 0.3333 0.5771 Cu
0.6667 0.3333 0.8397 Cu
0.0000 0.0000 0.7625 W
0.3333 0.6667 0.4292 W
0.6667 0.3333 0.0959 W
```

Principal peaks in the range 2θ = 15–90°, sorted by position:
- 2θ 29.7, intensity 209
- 2θ 35.7, intensity 156
- 2θ 38.1, intensity 1000
- 2θ 39.4, intensity 205
- 2θ 40.0, intensity 229
- 2θ 44.8, intensity 577
- 2θ 57.4, intensity 134
- 2θ 63.9, intensity 223
- 2θ 76.9, intensity 131
- 2θ 78.1, intensity 191

***

Record 11
Structure and computed powder diffractogram of TlCuW4 (a crystal structure in Alexandria, relaxed with GGA-PBE; Cu Ka).
Lines closer than 0.1° are merged.

Crystal structure
```
TlCuW4
1.0
0.0000 3.7881 3.7881
3.7881 0.0000 3.7881
3.7881 3.7881 0.0000
Tl Cu W
1 1 4
Direct
0.0000 0.0000 0.0000 Tl
0.2500 0.2500 0.2500 Cu
0.1285 0.6238 0.6238 W
0.6238 0.1285 0.6238 W
0.6238 0.6238 0.1285 W
0.6238 0.6238 0.6238 W
```

Principal peaks in the range 2θ = 15–90°, sorted by position:
- 2θ 20.3, intensity 209
- 2θ 33.5, intensity 181
- 2θ 39.4, intensity 1000
- 2θ 41.3, intensity 509
- 2θ 48.0, intensity 95
- 2θ 59.8, intensity 68
- 2θ 63.8, intensity 330
- 2θ 70.3, intensity 291
- 2θ 83.7, intensity 117
- 2θ 84.9, intensity 199

***

Record 12
Structure and computed powder diffractogram of Y5Tl2Cu (a crystal structure in Alexandria, relaxed with GGA-PBE; Cu Ka).
Lines closer than 0.1° are merged.

Crystal structure
```
Y5Tl2Cu
1.0
6.8633 0.0000 0.0000
0.0000 12.7982 0.0000
0.0000 0.0000 4.9616
Y Tl Cu
10 4 2
Direct
0.0000 0.0000 0.0000 Y
0.1074 0.2814 0.0000 Y
0.1769 0.5944 0.5000 Y
0.3231 0.0944 0.5000 Y
0.3926 0.7814 0.0000 Y
0.5000 0.5000 0.0000 Y
0.6074 0.2186 0.0000 Y
0.6769 0.9056 0.5000 Y
0.8231 0.4056 0.5000 Y
0.8926 0.7186 0.0000 Y
0.1350 0.8492 0.5000 Tl
0.3650 0.3492 0.5000 Tl
0.6350 0.6508 0.5000 Tl
0.8650 0.1508 0.5000 Tl
0.0000 0.5000 0.0000 Cu
0.5000 0.0000 0.0000 Cu
```

Principal peaks in the range 2θ = 15–90°, sorted by position:
- 2θ 17.9, intensity 175
- 2θ 19.0, intensity 167
- 2θ 30.6, intensity 399
- 2θ 30.8, intensity 243
- 2θ 31.7, intensity 210
- 2θ 32.5, intensity 1000
- 2θ 33.3, intensity 765
- 2θ 33.5, intensity 227
- 2θ 36.2, intensity 478
- 2θ 48.3, intensity 182

***

Record 13
Structure and computed powder diffractogram of Y4TlCu (a crystal structure in Alexandria, relaxed with GGA-PBE; Cu Ka).
Lines closer than 0.1° are merged.

Crystal structure
```
Y4TlCu
1.0
8.5708 0.0000 0.0000
0.0000 3.7343 0.0000
0.0000 0.0000 20.5846
Y Tl Cu
16 4 4
Direct
0.0242 0.2500 0.0692 Y
0.0505 0.7500 0.2157 Y
0.1265 0.7500 0.6550 Y
0.1470 0.7500 0.4487 Y
0.3530 0.2500 0.9487 Y
0.3735 0.2500 0.1550 Y
0.4495 0.2500 0.7157 Y
0.4758 0.7500 0.5692 Y
0.5242 0.2500 0.4308 Y
0.5505 0.7500 0.2843 Y
0.6265 0.7500 0.8450 Y
0.6470 0.7500 0.0513 Y
0.8530 0.2500 0.5513 Y
0.8735 0.2500 0.3450 Y
0.9495 0.2500 0.7843 Y
0.9758 0.7500 0.9308 Y
0.2461 0.2500 0.3182 Tl
0.2539 0.7500 0.8182 Tl
0.7461 0.2500 0.1818 Tl
0.7539 0.7500 0.6818 Tl
0.2216 0.2500 0.5542 Cu
0.2784 0.7500 0.0542 Cu
0.7216 0.2500 0.9458 Cu
0.7784 0.7500 0.4458 Cu
```

Principal peaks in the range 2θ = 15–90°, sorted by position:
- 2θ 20.1, intensity 400
- 2θ 31.4, intensity 1000
- 2θ 31.6, intensity 403
- 2θ 32.1, intensity 687
- 2θ 32.4, intensity 680
- 2θ 34.4, intensity 815
- 2θ 34.9, intensity 476
- 2θ 36.0, intensity 580
- 2θ 38.7, intensity 435
- 2θ 48.8, intensity 400